The following is a theoretical X-ray diffraction stick pattern of PmPrEr2Sc. It was derived from the GGA-PBE geometry in Alexandria, using Cu Kα (weighted mean of Kα1 and Kα2).
Kinematic intensities with the Lorentz-polarization factor, no thermal factor.

Structure:
Unit cell a=7.8676 b=5.0112 c=7.8928 alpha=90.00 beta=90.10 gamma=90.00
Positions (direct):
Pm 0.0548 0.2500 0.3465
Pm 0.9452 0.7500 0.6535
Pr 0.2558 0.2500 0.7590
Pr 0.7442 0.7500 0.2410
Er 0.1607 0.7500 0.0527
Er 0.3538 0.7500 0.4523
Er 0.6462 0.2500 0.5477
Er 0.8393 0.2500 0.9473
Sc 0.4524 0.2500 0.1498
Sc 0.5476 0.7500 0.8502

The 10 most intense peaks (15° ≤ 2θ ≤ 90°), in order of falling intensity:
31.0°, intensity 100, hkl 2 1 -1
51.8°, intensity 17, hkl 3 2 1
36.0°, intensity 17, hkl 1 0 -3
35.8°, intensity 17, hkl 0 2 0
36.1°, intensity 16, hkl 3 0 1
61.4°, intensity 14, hkl 2 3 -1
61.6°, intensity 14, hkl 3 1 -4
61.8°, intensity 13, hkl 5 1 0
51.7°, intensity 12, hkl 1 2 -3
64.7°, intensity 12, hkl 4 2 -2